Calculated X-ray powder pattern
Compound: KLiMoO4
Radiation: copper Kα
Structure: a structure optimized by DFT (GGA+U)
No peak broadening, texture or thermal motion is included.

Structural model:
Cell: 6.0041 6.0041 10.0666 Å, 90.00 90.00 120.00°
Fractional coordinates of all 14 atoms:
K 0.0000 0.0000 0.0000
K 0.0000 0.0000 0.5000
Li 0.3333 0.6667 0.0166
Li 0.6667 0.3333 0.5166
Mo 0.3333 0.6667 0.6458
Mo 0.6667 0.3333 0.1458
O 0.0106 0.5053 0.5827
O 0.3333 0.6667 0.8238
O 0.4947 0.5053 0.5827
O 0.4947 0.9894 0.5827
O 0.5053 0.0106 0.0827
O 0.5053 0.4947 0.0827
O 0.6667 0.3333 0.3238
O 0.9894 0.4947 0.0827

Peak list (8 most intense, 2θ from 10° to 80°, in order of rising 2θ)
h k l	d_spacing	I (rel.)
0 0 2	5.033	43
1 0 1	4.620	100
1 0 2	3.616	35
1 1 0	3.002	41
1 0 3	2.819	18
2 0 1	2.517	21
1 0 4	2.265	14
2 1 1	1.929	19